1.
For GdSiH2O4, a cell relaxed with PBE gives the theoretical X-ray powder pattern in this record (Cu Ka).
Peak positions follow from Bragg's law for the DFT cell and can differ from measured ones.

Principal peaks in the range 15° ≤ 2θ ≤ 90°, low angle first:
2θ/deg	intensity
19.43	98
20.78	64
24.97	62
26.87	72
31.85	54
33.38	48
34.83	100
52.78	39

Structure:
Cell lengths 4.800, 6.635, 11.743 Å; angles 90.00, 107.85, 90.00 degrees
Element x y z (fractional)
Gd  0.025  0.246  0.331
Gd  0.025  0.254  0.831
Gd  0.975  0.746  0.169
Gd  0.975  0.754  0.669
Si  0.274  0.235  0.107
Si  0.274  0.265  0.607
Si  0.726  0.735  0.393
Si  0.726  0.765  0.893
H  0.287  0.746  0.485
H  0.287  0.754  0.985
H  0.464  0.013  0.743
H  0.464  0.487  0.243
H  0.536  0.513  0.757
H  0.536  0.987  0.257
H  0.713  0.246  0.015
H  0.713  0.254  0.515
O  0.069  0.737  0.990
O  0.069  0.763  0.490
O  0.209  0.049  0.197
O  0.209  0.451  0.697
O  0.251  0.057  0.699
O  0.251  0.443  0.199
O  0.415  0.235  0.994
O  0.415  0.265  0.494
O  0.585  0.735  0.506
O  0.585  0.765  0.006
O  0.749  0.557  0.801
O  0.749  0.943  0.301
O  0.791  0.549  0.303
O  0.791  0.951  0.803
O  0.931  0.237  0.510
O  0.931  0.263  0.010

***

2.
For GdSiH2O4, a cell relaxed with PBE gives the theoretical X-ray powder pattern in this record (Cu Ka).
Peak positions follow from Bragg's law for the DFT cell and can differ from measured ones.

Principal peaks in the range 15° ≤ 2θ ≤ 90°, low angle first:
2θ/deg	intensity
19.59	92
20.94	61
25.11	67
26.79	74
32.15	51
33.41	50
35.22	100
52.97	40

Structure:
Cell lengths 4.764, 6.655, 5.791 Å; angles 90.00, 107.98, 90.00 degrees
Element x y z (fractional)
Gd  0.015  0.250  0.158
Gd  0.985  0.750  0.842
Si  0.283  0.250  0.718
Si  0.717  0.750  0.282
H  0.297  0.750  0.472
H  0.500  0.000  0.000
H  0.500  0.500  0.000
H  0.703  0.250  0.528
O  0.065  0.750  0.477
O  0.246  0.053  0.905
O  0.246  0.447  0.905
O  0.421  0.250  0.485
O  0.579  0.750  0.515
O  0.754  0.553  0.095
O  0.754  0.947  0.095
O  0.935  0.250  0.523

***

3.
For GdSiH2O4, a cell relaxed with PBE gives the theoretical X-ray powder pattern in this record (Cu Ka).
Peak positions follow from Bragg's law for the DFT cell and can differ from measured ones.

Principal peaks in the range 15° ≤ 2θ ≤ 90°, low angle first:
2θ/deg	intensity
18.67	68
24.92	100
32.33	21
32.78	43
33.72	60
40.43	25
48.40	37
50.51	32

Structure:
Cell lengths 6.205, 5.774, 7.182 Å; angles 55.97, 50.46, 73.57 degrees
Element x y z (fractional)
Gd  0.000  0.000  0.000
Gd  0.250  0.250  0.250
Si  0.520  0.520  0.480
Si  0.770  0.770  0.730
H  0.144  0.614  0.805
H  0.445  0.813  0.106
H  0.614  0.144  0.437
H  0.813  0.445  0.636
O  0.261  0.442  0.815
O  0.435  0.768  0.989
O  0.442  0.261  0.482
O  0.505  0.839  0.271
O  0.768  0.435  0.808
O  0.839  0.505  0.385
O  0.865  0.979  0.411
O  0.979  0.865  0.745

***

4.
For GdYH2O4, a cell relaxed with PBE gives the theoretical X-ray powder pattern in this record (Cu Ka).
Peak positions follow from Bragg's law for the DFT cell and can differ from measured ones.

Principal peaks in the range 15° ≤ 2θ ≤ 90°, low angle first:
2θ/deg	intensity
15.79	46
21.84	34
22.23	50
29.37	100
31.20	49
33.40	55
40.69	38
51.96	30

Structure:
Cell lengths 4.324, 3.618, 5.963 Å; angles 90.00, 109.74, 90.00 degrees
Element x y z (fractional)
Gd  0.000  0.000  0.000
Y  0.326  0.500  0.617
H  0.654  0.000  0.406
H  0.672  0.500  0.212
O  0.418  0.000  0.375
O  0.431  0.000  0.863
O  0.893  0.500  0.752
O  0.908  0.500  0.244

***

5.
For GdHSe2, a cell relaxed with PBE gives the theoretical X-ray powder pattern in this record (Cu Ka).
Peak positions follow from Bragg's law for the DFT cell and can differ from measured ones.

Principal peaks in the range 15° ≤ 2θ ≤ 90°, low angle first:
2θ/deg	intensity
20.40	100
23.04	54
29.42	74
29.77	57
32.65	57
35.44	55
36.22	63
39.87	80

Structure:
Cell lengths 7.018, 7.175, 7.266 Å; angles 90.00, 100.19, 90.00 degrees
Element x y z (fractional)
Gd  0.181  0.051  0.292
Gd  0.181  0.449  0.792
Gd  0.819  0.551  0.208
Gd  0.819  0.949  0.708
H  0.450  0.719  0.403
H  0.450  0.781  0.903
H  0.550  0.219  0.097
H  0.550  0.281  0.597
Se  0.076  0.740  0.512
Se  0.076  0.760  0.012
Se  0.425  0.143  0.673
Se  0.425  0.357  0.173
Se  0.575  0.643  0.827
Se  0.575  0.857  0.327
Se  0.924  0.240  0.988
Se  0.924  0.260  0.488